No. 1
# RbCa2TmI8
Computed powder XRD pattern, a wavelength of 1.5418 Å. Input: a GGA-PBE-relaxed structure.
Neutral-atom scattering factors, no anomalous dispersion.

Principal peaks in the range 15 to 90 degrees two-theta, most intense first:
Position (°2θ)	intensity
24.92	100
26.21	54
39.83	44
32.85	41
24.79	39
33.05	38

```
data_RbCa2TmI8
_chemical_formula_sum 'Rb1 Ca2 Tm1 I8'
_space_group_name_H-M_alt 'P 1'
_space_group_IT_number 1
_space_group_name_Hall 'P 1'
_cell_length_a 7.2290
_cell_length_b 9.7889
_cell_length_c 7.6587
_cell_angle_alpha 90.00
_cell_angle_beta 90.64
_cell_angle_gamma 90.00
loop_
_atom_site_label
_atom_site_type_symbol
_atom_site_fract_x
_atom_site_fract_y
_atom_site_fract_z
Rb1 Rb 0.0000 0.0000 0.0000
Ca1 Ca 0.5000 0.2525 0.5000
Ca2 Ca 0.5000 0.7475 0.5000
Tm1 Tm 0.0000 0.5000 0.0000
I1 I 0.2440 0.2881 0.1625
I2 I 0.2440 0.7119 0.1625
I3 I 0.2517 0.5000 0.6721
I4 I 0.2672 0.0000 0.6196
I5 I 0.7328 0.0000 0.3804
I6 I 0.7483 0.5000 0.3279
I7 I 0.7560 0.2881 0.8375
I8 I 0.7560 0.7119 0.8375
```


No. 2
# Pu6ZrO12
Computed powder XRD pattern, a wavelength of 1.5418 Å. Input: a GGA-PBE-relaxed structure.
Neutral-atom scattering factors, no anomalous dispersion.

Principal peaks in the range 15 to 90 degrees two-theta, most intense first:
Position (°2θ)	intensity
28.68	100
33.11	52
28.24	34
47.24	29
47.80	28
56.45	27

```
data_Pu6ZrO12
_chemical_formula_sum 'Pu6 Zr1 O12'
_space_group_name_H-M_alt 'P 1'
_space_group_IT_number 1
_space_group_name_Hall 'P 1'
_cell_length_a 6.6165
_cell_length_b 6.6165
_cell_length_c 6.6165
_cell_angle_alpha 99.08
_cell_angle_beta 99.08
_cell_angle_gamma 99.08
loop_
_atom_site_label
_atom_site_type_symbol
_atom_site_fract_x
_atom_site_fract_y
_atom_site_fract_z
Pu1 Pu 0.1010 0.6369 0.7976
Pu2 Pu 0.2024 0.8990 0.3631
Pu3 Pu 0.3631 0.2024 0.8990
Pu4 Pu 0.6369 0.7976 0.1010
Pu5 Pu 0.7976 0.1010 0.6369
Pu6 Pu 0.8990 0.3631 0.2024
Zr1 Zr 0.5000 0.5000 0.5000
O1 O 0.0649 0.3233 0.9115
O2 O 0.0885 0.9351 0.6767
O3 O 0.1882 0.5532 0.4333
O4 O 0.3233 0.9115 0.0649
O5 O 0.4333 0.1882 0.5532
O6 O 0.4468 0.5667 0.8118
O7 O 0.5532 0.4333 0.1882
O8 O 0.5667 0.8118 0.4468
O9 O 0.6767 0.0885 0.9351
O10 O 0.8118 0.4468 0.5667
O11 O 0.9115 0.0649 0.3233
O12 O 0.9351 0.6767 0.0885
```


No. 3
# HoMgTc4
Computed powder XRD pattern, a wavelength of 1.5418 Å. Input: a GGA-PBE-relaxed structure.
Neutral-atom scattering factors, no anomalous dispersion.

Principal peaks in the range 15 to 90 degrees two-theta, most intense first:
Position (°2θ)	intensity
39.86	100
41.71	44
64.55	32
71.09	25
33.80	23
20.51	21

```
data_HoMgTc4
_chemical_formula_sum 'Ho1 Mg1 Tc4'
_space_group_name_H-M_alt 'P 1'
_space_group_IT_number 1
_space_group_name_Hall 'P 1'
_cell_length_a 5.3042
_cell_length_b 5.3042
_cell_length_c 5.3042
_cell_angle_alpha 60.00
_cell_angle_beta 60.00
_cell_angle_gamma 60.00
loop_
_atom_site_label
_atom_site_type_symbol
_atom_site_fract_x
_atom_site_fract_y
_atom_site_fract_z
Ho1 Ho 0.0000 0.0000 0.0000
Mg1 Mg 0.2500 0.2500 0.2500
Tc1 Tc 0.1263 0.6246 0.6246
Tc2 Tc 0.6246 0.1263 0.6246
Tc3 Tc 0.6246 0.6246 0.1263
Tc4 Tc 0.6246 0.6246 0.6246
```


No. 4
# GeF
Computed powder XRD pattern, a wavelength of 1.5418 Å. Input: a GGA-PBE-relaxed structure.
Neutral-atom scattering factors, no anomalous dispersion.

Principal peaks in the range 15 to 90 degrees two-theta, most intense first:
Position (°2θ)	intensity
20.30	100
34.63	89
38.80	67
33.72	62
33.89	53
41.28	42

```
data_GeF
_chemical_formula_sum 'Ge2 F2'
_space_group_name_H-M_alt 'P 1'
_space_group_IT_number 1
_space_group_name_Hall 'P 1'
_cell_length_a 2.9343
_cell_length_b 4.5190
_cell_length_c 5.2902
_cell_angle_alpha 82.81
_cell_angle_beta 79.41
_cell_angle_gamma 76.33
loop_
_atom_site_label
_atom_site_type_symbol
_atom_site_fract_x
_atom_site_fract_y
_atom_site_fract_z
Ge1 Ge 0.1491 0.4485 0.2384
Ge2 Ge 0.8509 0.5515 0.7616
F1 F 0.2937 0.0324 0.2557
F2 F 0.7063 0.9676 0.7443
```


No. 5
# Ho2MnBePt6
Computed powder XRD pattern, a wavelength of 1.5418 Å. Input: a GGA-PBE-relaxed structure.
Neutral-atom scattering factors, no anomalous dispersion.

Principal peaks in the range 15 to 90 degrees two-theta, most intense first:
Position (°2θ)	intensity
38.12	100
41.19	76
26.18	44
66.78	25
28.57	21
34.62	19

```
data_Ho2MnBePt6
_chemical_formula_sum 'Ho2 Mn1 Be1 Pt6'
_space_group_name_H-M_alt 'P 1'
_space_group_IT_number 1
_space_group_name_Hall 'P 1'
_cell_length_a 7.5364
_cell_length_b 7.5364
_cell_length_c 7.5364
_cell_angle_alpha 43.65
_cell_angle_beta 43.65
_cell_angle_gamma 43.65
loop_
_atom_site_label
_atom_site_type_symbol
_atom_site_fract_x
_atom_site_fract_y
_atom_site_fract_z
Ho1 Ho 0.2072 0.2072 0.2072
Ho2 Ho 0.7928 0.7928 0.7928
Mn1 Mn 0.5000 0.5000 0.5000
Be1 Be 0.0000 0.0000 0.0000
Pt1 Pt 0.2406 0.2406 0.7335
Pt2 Pt 0.2406 0.7335 0.2406
Pt3 Pt 0.2665 0.7594 0.7594
Pt4 Pt 0.7335 0.2406 0.2406
Pt5 Pt 0.7594 0.2665 0.7594
Pt6 Pt 0.7594 0.7594 0.2665
```


No. 6
# Ho2SnPd3
Computed powder XRD pattern, a wavelength of 1.5418 Å. Input: a GGA-PBE-relaxed structure.
Neutral-atom scattering factors, no anomalous dispersion.

Principal peaks in the range 15 to 90 degrees two-theta, most intense first:
Position (°2θ)	intensity
32.96	100
39.29	57
41.98	32
36.31	32
31.24	26
56.69	18

```
data_Ho2SnPd3
_chemical_formula_sum 'Ho4 Sn2 Pd6'
_space_group_name_H-M_alt 'P 1'
_space_group_IT_number 1
_space_group_name_Hall 'P 1'
_cell_length_a 6.3368
_cell_length_b 6.3368
_cell_length_c 8.6086
_cell_angle_alpha 109.94
_cell_angle_beta 109.94
_cell_angle_gamma 52.54
loop_
_atom_site_label
_atom_site_type_symbol
_atom_site_fract_x
_atom_site_fract_y
_atom_site_fract_z
Ho1 Ho 0.1879 0.1908 0.0945
Ho2 Ho 0.1908 0.1879 0.5945
Ho3 Ho 0.8092 0.8121 0.4055
Ho4 Ho 0.8121 0.8092 0.9055
Sn1 Sn 0.2879 0.7121 0.7500
Sn2 Sn 0.7121 0.2879 0.2500
Pd1 Pd 0.2020 0.7980 0.2500
Pd2 Pd 0.3719 0.3716 0.4358
Pd3 Pd 0.3716 0.3719 0.9358
Pd4 Pd 0.6284 0.6281 0.0642
Pd5 Pd 0.6281 0.6284 0.5642
Pd6 Pd 0.7980 0.2020 0.7500
```


No. 7
# RbCdIrBr6
Computed powder XRD pattern, a wavelength of 1.5418 Å. Input: a GGA-PBE-relaxed structure.
Neutral-atom scattering factors, no anomalous dispersion.

Principal peaks in the range 15 to 90 degrees two-theta, most intense first:
Position (°2θ)	intensity
34.74	100
18.68	91
28.05	72
44.88	38
46.52	30
41.15	28

```
data_RbCdIrBr6
_chemical_formula_sum 'Rb1 Cd1 Ir1 Br6'
_space_group_name_H-M_alt 'P 1'
_space_group_IT_number 1
_space_group_name_Hall 'P 1'
_cell_length_a 6.9956
_cell_length_b 6.9956
_cell_length_c 7.6578
_cell_angle_alpha 90.00
_cell_angle_beta 90.00
_cell_angle_gamma 120.00
loop_
_atom_site_label
_atom_site_type_symbol
_atom_site_fract_x
_atom_site_fract_y
_atom_site_fract_z
Rb1 Rb 0.0000 0.0000 0.0000
Cd1 Cd 0.3333 0.6667 0.5000
Ir1 Ir 0.6667 0.3333 0.5000
Br1 Br 0.3822 0.0335 0.6906
Br2 Br 0.3822 0.3487 0.3094
Br3 Br 0.6513 0.0335 0.3094
Br4 Br 0.6513 0.6178 0.6906
Br5 Br 0.9665 0.3487 0.6906
Br6 Br 0.9665 0.6178 0.3094
```


No. 8
# YThSn
Computed powder XRD pattern, a wavelength of 1.5418 Å. Input: a GGA-PBE-relaxed structure.
Neutral-atom scattering factors, no anomalous dispersion.

Principal peaks in the range 15 to 90 degrees two-theta, most intense first:
Position (°2θ)	intensity
29.56	100
34.60	91
39.58	47
30.69	36
50.90	36
68.62	26

```
data_YThSn
_chemical_formula_sum 'Y2 Th2 Sn2'
_space_group_name_H-M_alt 'P 1'
_space_group_IT_number 1
_space_group_name_Hall 'P 1'
_cell_length_a 9.3151
_cell_length_b 9.3151
_cell_length_c 9.3151
_cell_angle_alpha 151.70
_cell_angle_beta 151.70
_cell_angle_gamma 40.45
loop_
_atom_site_label
_atom_site_type_symbol
_atom_site_fract_x
_atom_site_fract_y
_atom_site_fract_z
Y1 Y 0.1758 0.1758 0.0000
Y2 Y 0.8242 0.8242 0.0000
Th1 Th 0.0000 0.5000 0.5000
Th2 Th 0.5000 0.0000 0.5000
Sn1 Sn 0.3566 0.3566 0.0000
Sn2 Sn 0.6434 0.6434 0.0000
```